Ac4PrSn4: computed X-ray powder pattern (Cu Ka), based on a cell relaxed with GGA-PBE.
Peak positions follow from Bragg's law for the DFT cell and can differ from measured ones.

Structure:
abc: 10.044 10.044 6.834
angles: 90.00 90.00 90.00
Fractional positions:
1 Ac 0.039 0.672 0.116
2 Ac 0.172 0.961 0.616
3 Ac 0.328 0.539 0.616
4 Ac 0.461 0.828 0.116
5 Ac 0.539 0.172 0.884
6 Ac 0.672 0.461 0.384
7 Ac 0.828 0.039 0.384
8 Ac 0.961 0.328 0.884
9 Pr 0.250 0.250 0.250
10 Pr 0.750 0.750 0.750
11 Sn 0.016 0.638 0.607
12 Sn 0.138 0.984 0.107
13 Sn 0.362 0.516 0.107
14 Sn 0.484 0.862 0.607
15 Sn 0.516 0.138 0.393
16 Sn 0.638 0.484 0.893
17 Sn 0.862 0.016 0.893
18 Sn 0.984 0.362 0.393

Principal peaks in the range 15° ≤ 2θ ≤ 90°, sorted by position:
21.96°, rel. 108; 23.70°, rel. 293; 27.58°, rel. 469; 28.09°, rel. 1000; 32.94°, rel. 507; 40.15°, rel. 303; 41.84°, rel. 357; 45.74°, rel. 296; 47.16°, rel. 102; 56.19°, rel. 173; 61.63°, rel. 220; 65.47°, rel. 104


TcSnN: computed X-ray powder pattern (Cu Ka), based on a cell relaxed with GGA-PBE.
Peak positions follow from Bragg's law for the DFT cell and can differ from measured ones.

Structure:
abc: 3.850 4.828 5.512
angles: 90.00 90.00 90.00
Fractional positions:
1 Tc 0.250 0.250 0.191
2 Tc 0.750 0.750 0.809
3 Sn 0.250 0.750 0.418
4 Sn 0.750 0.250 0.582
5 N 0.250 0.750 0.844
6 N 0.750 0.250 0.156

Principal peaks in the range 15° ≤ 2θ ≤ 90°, sorted by position:
16.08°, rel. 288; 28.28°, rel. 899; 33.93°, rel. 1000; 37.25°, rel. 594; 37.58°, rel. 717; 44.58°, rel. 444; 47.22°, rel. 300; 47.41°, rel. 447; 53.35°, rel. 206; 61.63°, rel. 268; 61.85°, rel. 328; 86.32°, rel. 219


Sr2ScPbO5: computed X-ray powder pattern (Cu Ka), based on a cell relaxed with GGA-PBE.
Peak positions follow from Bragg's law for the DFT cell and can differ from measured ones.

Structure:
abc: 8.197 8.197 9.817
angles: 90.00 90.00 155.89
Fractional positions:
1 Sr 0.134 0.866 0.531
2 Sr 0.134 0.866 0.969
3 Sr 0.866 0.134 0.031
4 Sr 0.866 0.134 0.469
5 Sc 0.229 0.771 0.250
6 Sc 0.771 0.229 0.750
7 Pb 0.490 0.510 0.750
8 Pb 0.510 0.490 0.250
9 O 0.094 0.906 0.250
10 O 0.284 0.716 0.612
11 O 0.284 0.716 0.888
12 O 0.359 0.641 0.250
13 O 0.500 0.500 0.000
14 O 0.500 0.500 0.500
15 O 0.641 0.359 0.750
16 O 0.716 0.284 0.112
17 O 0.716 0.284 0.388
18 O 0.906 0.094 0.750

Principal peaks in the range 15° ≤ 2θ ≤ 90°, sorted by position:
21.22°, rel. 460; 28.76°, rel. 963; 31.02°, rel. 802; 32.36°, rel. 1000; 36.62°, rel. 328; 38.36°, rel. 165; 38.46°, rel. 523; 45.25°, rel. 170; 48.72°, rel. 493; 51.48°, rel. 474; 53.52°, rel. 174; 61.89°, rel. 236


Tl7TeH12: computed X-ray powder pattern (Cu Ka), based on a cell relaxed with GGA-PBE.
Peak positions follow from Bragg's law for the DFT cell and can differ from measured ones.

Structure:
abc: 7.022 8.349 8.361
angles: 112.42 106.26 106.23
Fractional positions:
1 Tl 0.000 0.000 0.000
2 Tl 0.051 0.286 0.438
3 Tl 0.158 0.639 0.832
4 Tl 0.289 0.395 0.042
5 Tl 0.355 0.157 0.676
6 Tl 0.675 0.832 0.194
7 Tl 0.922 0.790 0.546
8 Te 0.801 0.157 0.676
9 H 0.196 0.831 0.313
10 H 0.221 0.774 0.232
11 H 0.350 0.648 0.507
12 H 0.448 0.720 0.510
13 H 0.518 0.325 0.336
14 H 0.524 0.126 0.006
15 H 0.556 0.520 0.710
16 H 0.606 0.101 0.062
17 H 0.612 0.321 0.404
18 H 0.663 0.601 0.735
19 H 0.861 0.499 0.184
20 H 0.886 0.431 0.111

Principal peaks in the range 15° ≤ 2θ ≤ 90°, sorted by position:
19.42°, rel. 489; 23.30°, rel. 349; 25.64°, rel. 132; 29.63°, rel. 516; 32.20°, rel. 1000; 34.13°, rel. 803; 34.91°, rel. 263; 37.16°, rel. 248; 40.67°, rel. 202; 47.63°, rel. 213; 56.16°, rel. 142; 62.40°, rel. 138